Theoretical powder diffractogram of Ti3Nb2CrP6O24 for Cu Ka, from a crystal structure in the Materials Project, relaxed with GGA+U.
Neutral-atom scattering factors, no anomalous dispersion.

Main lines, by angle (2θ = 10–90°):
2θ 14.44, I = 20; 2θ 20.39, I = 100; 2θ 24.05, I = 89; 2θ 25.08, I = 33; 2θ 32.76, I = 83; 2θ 35.71, I = 40; 2θ 46.97, I = 38; 2θ 49.24, I = 30; 2θ 55.86, I = 27; 2θ 62.30, I = 21

Structural model:
Cell lengths 8.637, 8.637, 8.637 Å; angles 60.56, 60.56, 60.56 degrees
Fractional positions:
Ti  0.000  0.000  0.000
Ti  0.215  0.215  0.215
Ti  0.498  0.498  0.498
Nb  0.357  0.357  0.357
Nb  0.859  0.859  0.859
Cr  0.713  0.713  0.713
P  0.103  0.818  0.399
P  0.319  0.606  0.896
P  0.399  0.103  0.818
P  0.606  0.896  0.319
P  0.818  0.399  0.103
P  0.896  0.319  0.606
O  0.043  0.857  0.241
O  0.093  0.297  0.445
O  0.123  0.769  0.915
O  0.166  0.975  0.360
O  0.241  0.043  0.857
O  0.265  0.623  0.414
O  0.297  0.445  0.093
O  0.353  0.545  0.740
O  0.360  0.166  0.975
O  0.414  0.265  0.623
O  0.445  0.093  0.297
O  0.473  0.664  0.865
O  0.545  0.740  0.353
O  0.595  0.943  0.800
O  0.623  0.414  0.265
O  0.664  0.865  0.473
O  0.740  0.353  0.545
O  0.769  0.915  0.123
O  0.800  0.595  0.943
O  0.857  0.241  0.043
O  0.865  0.473  0.664
O  0.915  0.123  0.769
O  0.943  0.800  0.595
O  0.975  0.360  0.166